Entry 1:
Structure and calculated X-ray diffraction stick pattern of SrMg6VO8 (a PBE+U-relaxed structure; Cu Kα).
Neutral-atom scattering factors, no anomalous dispersion.

Main lines, by intensity (2θ from 10° to 90°):
- 2.249 Å, 2θ = 40.10°, intensity 100, hkl 2 0 0
- 1.568 Å, 2θ = 58.88°, intensity 54, hkl 2 0 4
- 2.189 Å, 2θ = 41.24°, intensity 44, hkl 0 0 4
- 2.573 Å, 2θ = 34.87°, intensity 43, hkl 1 1 2
- 8.755 Å, 2θ = 10.10°, intensity 40, hkl 0 0 1
- 1.590 Å, 2θ = 58.01°, intensity 30, hkl 2 2 0
- 1.286 Å, 2θ = 73.64°, intensity 25, hkl 2 2 4
- 2.989 Å, 2θ = 29.89°, intensity 20, hkl 1 1 1

Cell and atoms:
Unit cell a=4.497 b=4.497 c=8.755 alpha=90.00 beta=90.00 gamma=90.00
Space group P4/mmm (No. 123)
Symmetry-distinct sites (fractional):
Sr1 0.000 0.000 0.000 [1 per cell]
Mg1 0.000 0.000 0.500 [1 per cell]
Mg2 0.000 0.500 0.262 [4 per cell]
Mg3 0.500 0.500 0.500 [1 per cell]
V1 0.500 0.500 0.000 [1 per cell]
O1 0.000 0.000 0.273 [2 per cell]
O2 0.000 0.500 0.000 [2 per cell]
O3 0.000 0.500 0.500 [2 per cell]
O4 0.500 0.500 0.257 [2 per cell]

***

Entry 2:
Structure and calculated X-ray diffraction stick pattern of Sr3MgV2O8 (a PBE+U-relaxed structure; Cu Kα).
Neutral-atom scattering factors, no anomalous dispersion.

Main lines, by intensity (2θ from 10° to 90°):
- 2.899 Å, 2θ = 30.84°, intensity 100, hkl 1 1 2
- 2.833 Å, 2θ = 31.58°, intensity 90, hkl 3 1 0
- 2.889 Å, 2θ = 30.95°, intensity 51, hkl 0 2 0
- 2.048 Å, 2θ = 44.22°, intensity 44, hkl 2 2 -2
- 2.003 Å, 2θ = 45.26°, intensity 23, hkl 4 0 2
- 1.657 Å, 2θ = 55.46°, intensity 18, hkl 3 3 0
- 1.646 Å, 2θ = 55.84°, intensity 18, hkl 4 2 2
- 4.096 Å, 2θ = 21.70°, intensity 16, hkl 1 1 -1

Cell and atoms:
Unit cell a=9.752 b=5.778 c=7.163 alpha=90.00 beta=90.72 gamma=90.00
Space group C2/m (No. 12)
Symmetry-distinct sites (fractional):
Sr1 0.000 0.000 0.000 [2 per cell]
Sr2 0.166 0.500 0.649 [4 per cell]
Mg1 0.000 0.000 0.500 [2 per cell]
V1 0.161 0.500 0.207 [4 per cell]
O1 0.061 0.256 0.298 [8 per cell]
O2 0.185 0.000 0.639 [4 per cell]
O3 0.215 0.500 0.974 [4 per cell]

***

Entry 3:
Structure and calculated X-ray diffraction stick pattern of Sr3MgV2O7 (a PBE+U-relaxed structure; Cu Kα).
Neutral-atom scattering factors, no anomalous dispersion.

Main lines, by intensity (2θ from 10° to 90°):
- 2.537 Å, 2θ = 35.39°, intensity 100, hkl 1 0 7
- 2.803 Å, 2θ = 31.93°, intensity 62, hkl 1 1 0
- 1.982 Å, 2θ = 45.78°, intensity 53, hkl 2 0 0
- 3.009 Å, 2θ = 29.69°, intensity 43, hkl 1 0 5
- 2.266 Å, 2θ = 39.78°, intensity 42, hkl 1 1 6
- 1.562 Å, 2θ = 59.16°, intensity 42, hkl 2 1 7
- 1.381 Å, 2θ = 67.86°, intensity 18, hkl 2 0 12
- 3.524 Å, 2θ = 25.27°, intensity 16, hkl 1 0 3

Cell and atoms:
Unit cell a=3.964 b=3.964 c=23.109 alpha=90.00 beta=90.00 gamma=90.00
Space group I-4m2 (No. 119)
Symmetry-distinct sites (fractional):
Sr1 0.000 0.000 0.000 [2 per cell]
Sr2 0.000 0.000 0.158 [4 per cell]
Mg1 0.000 0.500 0.250 [2 per cell]
V1 0.000 0.000 0.417 [4 per cell]
O1 0.000 0.000 0.288 [4 per cell]
O2 0.000 0.000 0.500 [2 per cell]
O3 0.000 0.500 0.095 [4 per cell]
O4 0.000 0.500 0.592 [4 per cell]

***

Entry 4:
Structure and calculated X-ray diffraction stick pattern of SrMg14VO16 (a PBE+U-relaxed structure; Cu Kα).
Neutral-atom scattering factors, no anomalous dispersion.

Main lines, by intensity (2θ from 10° to 90°):
- 2.168 Å, 2θ = 41.66°, intensity 100, hkl 4 0 0
- 1.544 Å, 2θ = 59.90°, intensity 59, hkl 4 0 2
- 2.200 Å, 2θ = 41.03°, intensity 53, hkl 0 0 2
- 2.515 Å, 2θ = 35.70°, intensity 31, hkl 2 2 1
- 1.533 Å, 2θ = 60.39°, intensity 28, hkl 4 4 0
- 1.258 Å, 2θ = 75.61°, intensity 26, hkl 4 4 2
- 6.131 Å, 2θ = 14.45°, intensity 13, hkl 1 1 0
- 1.309 Å, 2θ = 72.17°, intensity 12, hkl 6 2 1

Cell and atoms:
Unit cell a=8.671 b=8.671 c=4.400 alpha=90.00 beta=90.00 gamma=90.00
Space group P4/mmm (No. 123)
Symmetry-distinct sites (fractional):
Sr1 0.000 0.000 0.000 [1 per cell]
Mg1 0.000 0.260 0.500 [4 per cell]
Mg2 0.000 0.500 0.000 [2 per cell]
Mg3 0.250 0.500 0.500 [4 per cell]
Mg4 0.255 0.255 0.000 [4 per cell]
V1 0.500 0.500 0.000 [1 per cell]
O1 0.000 0.000 0.500 [1 per cell]
O2 0.000 0.271 0.000 [4 per cell]
O3 0.000 0.500 0.500 [2 per cell]
O4 0.249 0.500 0.000 [4 per cell]
O5 0.251 0.251 0.500 [4 per cell]
O6 0.500 0.500 0.500 [1 per cell]

***

Entry 5:
Structure and calculated X-ray diffraction stick pattern of SrMg6VO8 (a PBE+U-relaxed structure; Cu Kα).
Neutral-atom scattering factors, no anomalous dispersion.

Main lines, by intensity (2θ from 10° to 90°):
- 2.244 Å, 2θ = 40.18°, intensity 100, hkl 2 0 0
- 1.576 Å, 2θ = 58.58°, intensity 56, hkl 2 0 4
- 2.213 Å, 2θ = 40.78°, intensity 46, hkl 0 0 4
- 2.579 Å, 2θ = 34.78°, intensity 43, hkl 1 1 2
- 1.587 Å, 2θ = 58.12°, intensity 30, hkl 2 2 0
- 4.489 Å, 2θ = 19.78°, intensity 27, hkl 1 0 0
- 1.290 Å, 2θ = 73.42°, intensity 26, hkl 2 2 4
- 3.151 Å, 2θ = 28.32°, intensity 23, hkl 1 0 2

Cell and atoms:
Unit cell a=4.489 b=4.489 c=8.850 alpha=90.00 beta=90.00 gamma=90.00
Space group P4/mmm (No. 123)
Symmetry-distinct sites (fractional):
Sr1 0.000 0.000 0.000 [1 per cell]
Mg1 0.000 0.500 0.259 [4 per cell]
Mg2 0.500 0.500 0.000 [1 per cell]
Mg3 0.500 0.500 0.500 [1 per cell]
V1 0.000 0.000 0.500 [1 per cell]
O1 0.000 0.000 0.266 [2 per cell]
O2 0.000 0.500 0.000 [2 per cell]
O3 0.000 0.500 0.500 [2 per cell]
O4 0.500 0.500 0.253 [2 per cell]

***

Entry 6:
Structure and calculated X-ray diffraction stick pattern of SrMgVO3 (a PBE+U-relaxed structure; Cu Kα).
Neutral-atom scattering factors, no anomalous dispersion.

Main lines, by intensity (2θ from 10° to 90°):
- 2.911 Å, 2θ = 30.72°, intensity 100, hkl 1 1 1
- 2.070 Å, 2θ = 43.74°, intensity 67, hkl 3 1 0
- 2.075 Å, 2θ = 43.62°, intensity 33, hkl 1 1 -2
- 3.325 Å, 2θ = 26.82°, intensity 32, hkl 2 0 0
- 4.380 Å, 2θ = 20.28°, intensity 28, hkl 1 1 0
- 2.949 Å, 2θ = 30.31°, intensity 22, hkl 2 0 -1
- 1.455 Å, 2θ = 63.98°, intensity 22, hkl 2 2 2
- 1.680 Å, 2θ = 54.62°, intensity 19, hkl 2 0 2

Cell and atoms:
Unit cell a=6.778 b=5.817 c=4.481 alpha=90.00 beta=101.61 gamma=90.00
Space group Cm (No. 8)
Symmetry-distinct sites (fractional):
Sr1 0.000 0.000 0.000 [2 per cell]
Mg1 0.136 0.500 0.365 [2 per cell]
V1 0.346 0.000 0.653 [2 per cell]
O1 0.111 0.251 0.636 [4 per cell]
O2 0.363 0.000 0.138 [2 per cell]

***

Entry 7:
Structure and calculated X-ray diffraction stick pattern of Sr3MgV2O7 (a PBE+U-relaxed structure; Cu Kα).
Neutral-atom scattering factors, no anomalous dispersion.

Main lines, by intensity (2θ from 10° to 90°):
- 2.800 Å, 2θ = 31.96°, intensity 100, hkl 1 1 -3
- 1.958 Å, 2θ = 46.38°, intensity 44, hkl 2 2 0
- 2.774 Å, 2θ = 32.27°, intensity 35, hkl 0 2 0
- 2.763 Å, 2θ = 32.41°, intensity 35, hkl 2 0 0
- 1.607 Å, 2θ = 57.35°, intensity 19, hkl 1 3 -3
- 2.038 Å, 2θ = 44.45°, intensity 14, hkl 0 2 4
- 1.624 Å, 2θ = 56.67°, intensity 11, hkl 2 0 -6
- 3.005 Å, 2θ = 29.73°, intensity 11, hkl 0 0 4

Cell and atoms:
Unit cell a=5.525 b=5.549 c=12.019 alpha=90.00 beta=90.21 gamma=90.00
Space group Cm (No. 8)
Symmetry-distinct sites (fractional):
Sr1 0.000 0.000 0.000 [2 per cell]
Sr2 0.002 0.000 0.292 [2 per cell]
Sr3 0.007 0.500 0.515 [2 per cell]
Mg1 0.005 0.500 0.797 [2 per cell]
V1 0.001 0.500 0.145 [2 per cell]
V2 0.006 0.000 0.682 [2 per cell]
O1 0.002 0.500 0.326 [2 per cell]
O2 0.002 0.500 0.957 [2 per cell]
O3 0.007 0.000 0.522 [2 per cell]
O4 0.250 0.250 0.143 [4 per cell]
O5 0.256 0.251 0.726 [4 per cell]

***

Entry 8:
Structure and calculated X-ray diffraction stick pattern of SrMgVO3 (a PBE+U-relaxed structure; Cu Kα).
Neutral-atom scattering factors, no anomalous dispersion.

Main lines, by intensity (2θ from 10° to 90°):
- 3.072 Å, 2θ = 29.07°, intensity 100, hkl 0 0 2
- 3.343 Å, 2θ = 26.66°, intensity 96, hkl 1 0 1
- 2.818 Å, 2θ = 31.76°, intensity 73, hkl 1 1 0
- 2.076 Å, 2θ = 43.59°, intensity 60, hkl 1 1 2
- 1.672 Å, 2θ = 54.93°, intensity 57, hkl 2 0 2
- 1.992 Å, 2θ = 45.53°, intensity 53, hkl 2 0 0
- 1.711 Å, 2θ = 53.54°, intensity 28, hkl 2 1 1
- 1.281 Å, 2θ = 74.03°, intensity 22, hkl 2 2 2

Cell and atoms:
Unit cell a=3.985 b=3.985 c=6.144 alpha=90.00 beta=90.00 gamma=90.00
Space group P4/mmm (No. 123)
Symmetry-distinct sites (fractional):
Sr1 0.000 0.000 0.000 [1 per cell]
Mg1 0.000 0.000 0.500 [1 per cell]
V1 0.500 0.500 0.500 [1 per cell]
O1 0.000 0.500 0.500 [2 per cell]
O2 0.500 0.500 0.000 [1 per cell]

***

Entry 9:
Structure and calculated X-ray diffraction stick pattern of Sr3MgV2O8 (a PBE+U-relaxed structure; Cu Kα).
Neutral-atom scattering factors, no anomalous dispersion.

Main lines, by intensity (2θ from 10° to 90°):
- 3.178 Å, 2θ = 28.08°, intensity 100, hkl 3 1 -2
- 2.939 Å, 2θ = 30.42°, intensity 67, hkl 0 2 0
- 3.250 Å, 2θ = 27.45°, intensity 53, hkl 1 1 1
- 3.196 Å, 2θ = 27.91°, intensity 36, hkl 1 1 -2
- 2.013 Å, 2θ = 45.03°, intensity 33, hkl 2 2 1
- 3.230 Å, 2θ = 27.62°, intensity 28, hkl 3 1 -1
- 2.201 Å, 2θ = 41.01°, intensity 25, hkl 1 1 -3
- 3.050 Å, 2θ = 29.28°, intensity 25, hkl 0 0 2

Cell and atoms:
Unit cell a=12.078 b=5.878 c=8.418 alpha=90.00 beta=133.56 gamma=90.00
Space group Cm (No. 8)
Symmetry-distinct sites (fractional):
Sr1 0.000 0.000 0.000 [2 per cell]
Sr2 0.040 0.500 0.308 [2 per cell]
Sr3 0.168 0.500 0.952 [2 per cell]
Mg1 0.404 0.500 0.476 [2 per cell]
V1 0.226 0.000 0.782 [2 per cell]
V2 0.326 0.000 0.486 [2 per cell]
O1 0.000 0.500 0.551 [2 per cell]
O2 0.067 0.000 0.794 [2 per cell]
O3 0.072 0.000 0.478 [2 per cell]
O4 0.231 0.264 0.319 [4 per cell]
O5 0.336 0.237 0.979 [4 per cell]
O6 0.386 0.000 0.752 [2 per cell]